The following is a calculated X-ray powder pattern of Sm2Tm7Tl2. It was derived from a structure optimized by DFT (GGA-PBE), using Cu Kα (λ = 1.5418 Å).
Neutral-atom scattering factors, no anomalous dispersion.

```
data_Sm2Tm7Tl2
_cell_length_a 8.933
_cell_length_b 9.502
_cell_length_c 8.154
_cell_angle_alpha 90.00
_cell_angle_beta 104.98
_cell_angle_gamma 90.00
_symmetry_space_group_name_H-M 'C 1 2/m 1'
_symmetry_Int_Tables_number 12
_symmetry_space_group_name_Hall '-C 2y'
loop_
_atom_site_label
_atom_site_type_symbol
_atom_site_fract_x
_atom_site_fract_y
_atom_site_fract_z
Sm1 Sm 0.000 0.181 0.000
Tm1 Tm 0.000 0.000 0.500
Tm2 Tm 0.180 0.297 0.671
Tm3 Tm 0.193 0.500 0.026
Tl1 Tl 0.113 0.500 0.353
```

The 6 most intense peaks (2θ = 10–90°), by angle:
index	2θ/deg	I_rel
1 3 -1	31.19	62
2 2 1	32.19	100
2 2 -2	32.53	93
0 0 3	34.15	39
3 1 -2	34.84	23
3 5 0	58.20	26